# Pa2TiN5
Theoretical powder diffractogram, λ = 1.5418 Å (Cu Kα). Input: DFT lattice parameters and positions (PBE).

```
Pa2TiN5
1.0
8.8977 0.0000 0.0000
0.0000 7.4084 0.0000
-0.1296 0.0000 6.5744
Pa Ti N
8 4 20
Cartesian
0.0650 0.9323 1.6699
0.0002 2.7719 4.9571
2.9947 1.0316 6.1922
3.0595 2.6726 2.9050
5.7087 4.7358 3.6693
5.7735 6.3768 0.3822
8.7680 4.6365 1.6173
8.7032 6.4761 4.9045
3.0422 4.4171 5.9432
3.1070 6.6955 2.6560
5.6612 0.7129 3.9184
5.7260 2.9913 0.6312
0.7545 0.8397 5.9879
0.8193 2.8645 2.7008
0.8431 4.7310 6.0817
0.9079 6.3816 2.7945
2.3757 0.9160 1.7028
2.3109 2.7882 4.9900
3.4368 4.8946 3.6552
3.5016 6.2180 0.3680
3.5478 0.5930 4.0483
3.6126 3.1112 0.7611
5.1555 4.2972 5.8133
5.2203 6.8154 2.5261
5.2665 1.1904 6.2064
5.3313 2.5138 2.9192
6.4572 4.6202 1.5844
6.3924 6.4924 4.8716
7.8603 1.0268 3.7799
7.9251 2.6774 0.4927
7.9488 4.5439 3.8736
8.0136 6.5687 0.5864
```

Principal peaks in the range 2θ from 10° to 90°, sorted by position:
| 2theta | d/Å | intensity |
| --- | --- | --- |
| 15.6 | 5.693 | 34.4 |
| 28.8 | 3.103 | 55.5 |
| 29.5 | 3.024 | 100.0 |
| 30.1 | 2.965 | 47.4 |
| 34.2 | 2.623 | 76.6 |
| 48.3 | 1.886 | 31.0 |
| 49.0 | 1.859 | 15.4 |
| 49.2 | 1.852 | 17.3 |
| 50.0 | 1.823 | 27.7 |
| 57.5 | 1.604 | 17.0 |


# Pa5Ti2N12
Theoretical powder diffractogram, λ = 1.5418 Å (Cu Kα). Input: DFT lattice parameters and positions (PBE).

```
Pa5Ti2N12
1.0
6.1782 -2.9521 0.0000
6.1782 2.9521 0.0000
-2.1620 0.0000 7.0868
Pa Ti N
5 2 12
Cartesian
0.0000 0.0000 0.0000
2.3936 0.0000 4.6722
3.5431 0.0000 1.0698
6.6514 0.0000 6.0170
7.8008 0.0000 2.4146
5.0972 1.5533 3.5434
5.0972 -1.5533 3.5434
-0.6293 0.0000 2.1884
2.2566 1.4958 6.5639
3.1752 1.3422 2.8999
7.9378 1.4958 0.5229
7.0192 1.3422 4.1869
4.6401 0.0000 4.9215
5.5544 0.0000 2.1653
3.1752 -1.3422 2.8999
2.2566 -1.4958 6.5639
7.0192 -1.3422 4.1869
7.9378 -1.4958 0.5229
10.8238 0.0000 4.8984
```

Principal peaks in the range 2θ from 10° to 90°, sorted by position:
| 2theta | d/Å | intensity |
| --- | --- | --- |
| 15.0 | 5.909 | 17.4 |
| 27.2 | 3.277 | 99.5 |
| 28.4 | 3.138 | 100.0 |
| 30.3 | 2.952 | 36.1 |
| 33.1 | 2.710 | 26.5 |
| 33.3 | 2.688 | 25.6 |
| 45.4 | 1.996 | 23.4 |
| 45.7 | 1.987 | 26.0 |
| 51.9 | 1.761 | 18.4 |
| 52.7 | 1.738 | 18.6 |


# Pa2TiVN6
Theoretical powder diffractogram, λ = 1.5418 Å (Cu Kα). Input: DFT lattice parameters and positions (PBE).

```
Pa2TiVN6
1.0
5.2948 0.0000 0.0000
0.0000 5.2948 0.0000
0.0000 0.0000 4.7039
Pa Ti V N
2 1 1 6
Cartesian
0.0000 2.6474 0.0000
2.6474 0.0000 0.0000
0.0000 0.0000 2.7842
2.6474 2.6474 2.7922
0.0000 0.0000 0.9392
1.3409 1.3409 3.4920
1.3409 3.9540 3.4920
2.6474 2.6474 1.0545
3.9540 1.3409 3.4920
3.9540 3.9540 3.4920
```

Principal peaks in the range 2θ from 10° to 90°, sorted by position:
| 2theta | d/Å | intensity |
| --- | --- | --- |
| 18.9 | 4.704 | 41.1 |
| 23.8 | 3.744 | 33.7 |
| 30.5 | 2.929 | 100.0 |
| 33.9 | 2.647 | 37.3 |
| 39.0 | 2.307 | 27.1 |
| 45.5 | 1.992 | 24.4 |
| 48.6 | 1.872 | 19.1 |
| 52.0 | 1.758 | 22.6 |
| 58.5 | 1.577 | 32.3 |
| 68.8 | 1.364 | 14.4 |


# ZrPa2TiN5
Theoretical powder diffractogram, λ = 1.5418 Å (Cu Kα). Input: DFT lattice parameters and positions (PBE).

```
ZrPa2TiN5
1.0
1.6727 -6.6994 0.0000
1.6727 6.6994 0.0000
0.0000 0.0000 10.2224
Zr Pa Ti N
2 4 2 10
Cartesian
1.6727 3.8537 5.1112
1.6727 -3.8537 0.0000
1.6727 5.2405 1.8773
1.6727 4.7927 8.0628
1.6727 -4.7927 2.9517
1.6727 -5.2405 6.9885
1.6727 0.3293 9.8582
1.6727 -0.3293 4.7470
1.6727 6.0278 5.7410
1.6727 2.9401 1.6047
1.6727 2.3663 8.7676
1.6727 1.6709 5.1464
1.6727 0.1985 2.8203
1.6727 -0.1985 7.9314
1.6727 -1.6709 0.0352
1.6727 -2.3663 3.6564
1.6727 -2.9401 6.7159
1.6727 -6.0278 0.6298
```

Principal peaks in the range 2θ from 10° to 90°, sorted by position:
| 2theta | d/Å | intensity |
| --- | --- | --- |
| 17.4 | 5.111 | 48.6 |
| 26.6 | 3.350 | 37.7 |
| 27.5 | 3.246 | 53.9 |
| 29.4 | 3.037 | 100.0 |
| 31.9 | 2.802 | 76.9 |
| 32.7 | 2.740 | 68.6 |
| 33.5 | 2.678 | 66.6 |
| 38.3 | 2.350 | 89.8 |
| 46.4 | 1.955 | 31.4 |
| 46.9 | 1.936 | 31.6 |


# PaTlN
Theoretical powder diffractogram, λ = 1.5418 Å (Cu Kα). Input: DFT lattice parameters and positions (PBE).

```
PaTlN
1.0
-1.6592 1.6592 6.1682
1.6592 -1.6592 6.1682
1.6592 1.6592 -6.1682
Pa Tl N
1 1 1
Cartesian
0.0000 0.0000 0.0000
0.0000 0.0000 3.3501
0.0000 0.0000 6.2553
```

Principal peaks in the range 2θ from 10° to 90°, sorted by position:
| 2theta | d/Å | intensity |
| --- | --- | --- |
| 27.8 | 3.204 | 100.0 |
| 29.0 | 3.084 | 56.2 |
| 34.7 | 2.582 | 92.7 |
| 38.4 | 2.346 | 57.4 |
| 48.8 | 1.867 | 54.3 |
| 59.4 | 1.556 | 27.0 |
| 63.1 | 1.473 | 21.4 |
| 63.7 | 1.461 | 24.6 |
| 67.0 | 1.396 | 29.1 |
| 85.6 | 1.135 | 20.3 |


# Tm2PaN4
Theoretical powder diffractogram, λ = 1.5418 Å (Cu Kα). Input: DFT lattice parameters and positions (PBE).

```
Tm2PaN4
1.0
5.8066 0.0000 0.0000
0.0000 9.6729 0.0000
0.0000 0.0000 3.5479
Tm Pa N
4 2 8
Cartesian
0.3448 1.6917 0.0000
2.5584 6.5282 0.0000
3.2481 3.1447 0.0000
5.4617 7.9812 0.0000
0.0000 4.8365 1.7740
2.9033 0.0000 1.7740
0.9270 6.8229 1.7740
1.4054 4.4556 0.0000
1.4979 9.2920 0.0000
1.9763 1.9865 1.7740
3.8303 7.6864 1.7740
4.3087 0.3809 0.0000
4.4011 5.2174 0.0000
4.8796 2.8500 1.7740
```

Principal peaks in the range 2θ from 10° to 90°, sorted by position:
| 2theta | d/Å | intensity |
| --- | --- | --- |
| 30.8 | 2.903 | 34.4 |
| 31.0 | 2.889 | 100.0 |
| 31.3 | 2.861 | 49.5 |
| 31.7 | 2.819 | 93.8 |
| 41.2 | 2.189 | 17.1 |
| 44.5 | 2.038 | 43.9 |
| 45.4 | 1.998 | 13.9 |
| 51.5 | 1.774 | 16.4 |
| 56.4 | 1.630 | 28.6 |
| 61.8 | 1.501 | 30.1 |


# Tm2PaWN6
Theoretical powder diffractogram, λ = 1.5418 Å (Cu Kα). Input: DFT lattice parameters and positions (PBE).

```
Tm2PaWN6
1.0
2.8498 1.6453 4.8722
-2.8498 1.6453 4.8722
0.0000 -3.2906 4.8722
Tm Pa W N
2 1 1 6
Cartesian
0.0000 0.0000 0.0000
0.0000 0.0000 7.2917
0.0000 0.0000 10.6008
0.0000 0.0000 3.2710
-2.1632 0.2090 6.5997
-0.5883 -1.6601 8.9982
0.9006 -1.9779 6.5997
-1.1435 1.3395 8.9982
1.2627 1.7689 6.5997
1.7318 0.3205 8.9982
```

Principal peaks in the range 2θ from 10° to 90°, sorted by position:
| 2theta | d/Å | intensity |
| --- | --- | --- |
| 30.4 | 2.937 | 100.0 |
| 31.4 | 2.850 | 95.8 |
| 44.3 | 2.045 | 40.4 |
| 49.2 | 1.852 | 15.8 |
| 53.5 | 1.713 | 16.4 |
| 55.3 | 1.662 | 40.2 |
| 55.9 | 1.645 | 23.5 |
| 65.5 | 1.425 | 12.8 |
| 72.4 | 1.305 | 12.9 |
| 73.9 | 1.282 | 16.2 |


# U2Pa5N12
Theoretical powder diffractogram, λ = 1.5418 Å (Cu Kα). Input: DFT lattice parameters and positions (PBE).

```
U2Pa5N12
1.0
6.3851 -3.0315 0.0000
6.3851 3.0315 0.0000
-2.2656 0.0000 7.3082
U Pa N
2 5 12
Cartesian
6.3851 1.6736 0.0000
6.3851 -1.6736 0.0000
-1.1328 0.0000 3.6541
2.4251 0.0000 4.6691
3.5123 0.0000 1.2273
6.9922 0.0000 6.0808
8.0794 0.0000 2.6391
-1.7111 0.0000 5.6332
2.1138 1.4144 6.6414
3.3511 1.4752 3.0887
7.1534 1.4752 4.2194
8.3907 1.4144 0.6668
5.9408 0.0000 1.3224
4.5637 0.0000 5.9857
2.1138 -1.4144 6.6414
3.3511 -1.4752 3.0887
7.1534 -1.4752 4.2194
8.3907 -1.4144 0.6668
12.2156 0.0000 1.6749
```

Principal peaks in the range 2θ from 10° to 90°, sorted by position:
| 2theta | d/Å | intensity |
| --- | --- | --- |
| 26.4 | 3.377 | 94.3 |
| 27.6 | 3.235 | 100.0 |
| 29.3 | 3.049 | 24.0 |
| 32.0 | 2.800 | 25.0 |
| 32.1 | 2.791 | 41.3 |
| 32.2 | 2.781 | 39.8 |
| 33.0 | 2.715 | 29.3 |
| 38.6 | 2.332 | 21.5 |
| 47.5 | 1.913 | 22.9 |
| 53.8 | 1.704 | 26.7 |


# U2Pa3N9
Theoretical powder diffractogram, λ = 1.5418 Å (Cu Kα). Input: DFT lattice parameters and positions (PBE).

```
U2Pa3N9
1.0
-1.9253 1.9253 13.3576
1.9253 -1.9253 13.3576
1.9253 1.9253 -13.3576
U Pa N
2 3 9
Cartesian
0.0000 0.0000 5.2122
0.0000 0.0000 21.5029
0.0000 0.0000 0.0000
0.0000 0.0000 10.7853
0.0000 0.0000 15.9298
1.9253 0.0000 1.5044
1.9253 0.0000 4.4789
1.9253 0.0000 8.8787
1.9253 0.0000 11.8531
0.0000 1.9253 1.2943
0.0000 1.9253 4.0446
0.0000 1.9253 6.6788
0.0000 1.9253 9.3130
0.0000 1.9253 12.0632
```

Principal peaks in the range 2θ from 10° to 90°, sorted by position:
| 2theta | d/Å | intensity |
| --- | --- | --- |
| 28.6 | 3.124 | 100.0 |
| 32.9 | 2.723 | 28.0 |
| 33.5 | 2.672 | 13.0 |
| 47.2 | 1.925 | 15.9 |
| 47.7 | 1.907 | 28.5 |
| 56.1 | 1.639 | 31.8 |
| 57.0 | 1.616 | 13.5 |
| 59.1 | 1.562 | 11.3 |
| 77.0 | 1.238 | 11.5 |
| 88.2 | 1.108 | 10.4 |


# U2Pa2N7
Theoretical powder diffractogram, λ = 1.5418 Å (Cu Kα). Input: DFT lattice parameters and positions (PBE).

```
U2Pa2N7
1.0
0.0000 5.3471 5.3471
5.3471 0.0000 5.3471
5.3471 5.3471 0.0000
U Pa N
4 4 14
Cartesian
0.0000 0.0000 0.0000
2.6735 2.6735 0.0000
2.6735 0.0000 2.6735
0.0000 2.6735 2.6735
5.3471 2.6735 2.6735
2.6735 5.3471 2.6735
2.6735 2.6735 5.3471
5.3471 5.3471 5.3471
4.0103 4.0103 1.1049
4.0103 1.1049 4.0103
6.9157 4.0103 4.0103
6.6839 6.6839 3.7784
6.6839 3.7784 6.6839
9.5893 6.6839 6.6839
4.0103 4.0103 4.0103
6.6839 6.6839 6.6839
1.1049 4.0103 4.0103
4.0103 6.9157 4.0103
4.0103 4.0103 6.9157
3.7784 6.6839 6.6839
6.6839 9.5893 6.6839
6.6839 6.6839 9.5893
```

Principal peaks in the range 2θ from 10° to 90°, sorted by position:
| 2theta | d/Å | intensity |
| --- | --- | --- |
| 28.9 | 3.087 | 100.0 |
| 33.5 | 2.674 | 41.5 |
| 48.1 | 1.890 | 44.8 |
| 57.1 | 1.612 | 46.6 |
| 59.9 | 1.544 | 11.7 |
| 70.4 | 1.337 | 7.2 |
| 77.9 | 1.227 | 19.7 |
| 80.3 | 1.196 | 16.4 |
| 89.9 | 1.091 | 16.1 |


# Pa3WN7
Theoretical powder diffractogram, λ = 1.5418 Å (Cu Kα). Input: DFT lattice parameters and positions (PBE).

```
Pa3WN7
1.0
3.7710 -5.3215 0.0000
3.7710 5.3215 0.0000
0.0000 0.0000 7.5108
Pa W N
6 2 14
Cartesian
0.1979 0.0000 0.0000
2.0165 2.4764 1.9372
2.0165 -2.4764 5.5736
5.5256 2.4764 1.8182
5.5256 -2.4764 5.6926
7.3442 0.0000 3.7554
3.6179 0.0000 3.7554
3.9242 0.0000 0.0000
3.7710 3.9875 5.6331
3.7710 3.8498 1.8777
2.0820 1.3490 7.3751
2.3063 1.3358 4.0694
2.0820 -1.3490 0.1357
2.3063 -1.3358 3.4414
3.7710 0.7359 1.8777
3.7710 -0.7359 5.6331
5.2357 1.3358 7.1968
5.4601 1.3490 3.8911
5.2357 -1.3358 0.3140
5.4601 -1.3490 3.6197
3.7710 -3.8498 5.6331
3.7710 -3.9875 1.8777
```

Principal peaks in the range 2θ from 10° to 90°, sorted by position:
| 2theta | d/Å | intensity |
| --- | --- | --- |
| 29.1 | 3.073 | 100.0 |
| 33.7 | 2.661 | 40.4 |
| 48.3 | 1.886 | 5.9 |
| 48.4 | 1.882 | 26.3 |
| 48.5 | 1.878 | 7.6 |
| 57.4 | 1.605 | 24.4 |
| 57.5 | 1.603 | 14.7 |
| 60.3 | 1.534 | 5.5 |
| 70.8 | 1.330 | 5.3 |
| 80.8 | 1.190 | 7.2 |